Record 1
The following is a simulated PXRD pattern of InAsRuCl. It was derived from DFT lattice parameters and positions (PBE), using λ = 1.5418 Å (Cu Kα).

Cell and atoms:
```
InAsRuCl
1.0
6.280 0.000 0.000
0.000 3.654 0.000
-2.111 0.000 8.387
In As Ru Cl
2 2 2 2
direct
0.000 0.000 0.000 In
0.500 0.500 0.000 In
0.224 0.000 0.671 As
0.724 0.500 0.671 As
0.348 0.500 0.546 Ru
0.848 0.000 0.546 Ru
0.253 0.500 0.264 Cl
0.753 0.000 0.264 Cl
```

Peak list (12 most intense, 2θ = 10–80°, in order of rising 2θ)
10.55 deg, rel. 53; 21.19 deg, rel. 78; 28.48 deg, rel. 100; 28.64 deg, rel. 51; 31.71 deg, rel. 36; 33.48 deg, rel. 83; 33.68 deg, rel. 41; 37.96 deg, rel. 35; 40.45 deg, rel. 67; 40.64 deg, rel. 33; 50.23 deg, rel. 58; 55.73 deg, rel. 52



Record 2
The following is a simulated PXRD pattern of Rb3Pr3PuO8. It was derived from DFT lattice parameters and positions (PBE), using λ = 1.5418 Å (Cu Kα).

Cell and atoms:
```
Rb3Pr3PuO8
1.0
3.650 2.108 6.675
-3.650 2.108 6.675
0.000 -4.215 6.675
Rb Pr Pu O
3 3 1 8
direct
0.000 0.500 0.500 Rb
0.500 0.000 0.500 Rb
0.500 0.500 0.000 Rb
0.000 0.000 0.500 Pr
0.000 0.500 0.000 Pr
0.500 0.000 0.000 Pr
0.500 0.500 0.500 Pu
0.226 0.226 0.226 O
0.246 0.711 0.711 O
0.289 0.289 0.754 O
0.289 0.754 0.289 O
0.711 0.246 0.711 O
0.711 0.711 0.246 O
0.754 0.289 0.289 O
0.774 0.774 0.774 O
```

Peak list (12 most intense, 2θ = 10–80°, in order of rising 2θ)
13.26 deg, rel. 63; 14.69 deg, rel. 24; 26.71 deg, rel. 41; 28.59 deg, rel. 20; 29.63 deg, rel. 82; 33.53 deg, rel. 100; 46.26 deg, rel. 35; 49.97 deg, rel. 33; 54.22 deg, rel. 21; 57.55 deg, rel. 30; 61.52 deg, rel. 16; 77.50 deg, rel. 13



Record 3
The following is a simulated PXRD pattern of Sc12Bi6Os. It was derived from DFT lattice parameters and positions (PBE), using λ = 1.5418 Å (Cu Kα).

Cell and atoms:
```
Sc12Bi6Os
1.0
6.271 3.621 3.801
-6.271 3.621 3.801
0.000 -7.242 3.801
Sc Bi Os
12 6 1
direct
0.000 0.311 0.058 Sc
0.000 0.689 0.942 Sc
0.058 0.000 0.311 Sc
0.210 0.410 0.533 Sc
0.311 0.058 0.000 Sc
0.410 0.533 0.210 Sc
0.467 0.790 0.590 Sc
0.533 0.210 0.410 Sc
0.590 0.467 0.790 Sc
0.689 0.942 0.000 Sc
0.790 0.590 0.467 Sc
0.942 0.000 0.689 Sc
0.113 0.653 0.323 Bi
0.323 0.113 0.653 Bi
0.347 0.677 0.887 Bi
0.653 0.323 0.113 Bi
0.677 0.887 0.347 Bi
0.887 0.347 0.677 Bi
0.000 0.000 0.000 Os
```

Peak list (12 most intense, 2θ = 10–80°, in order of rising 2θ)
23.02 deg, rel. 100; 23.41 deg, rel. 39; 24.59 deg, rel. 22; 26.76 deg, rel. 28; 27.44 deg, rel. 26; 30.70 deg, rel. 31; 33.65 deg, rel. 39; 34.20 deg, rel. 32; 38.45 deg, rel. 29; 39.46 deg, rel. 32; 44.86 deg, rel. 28; 47.05 deg, rel. 22



Record 4
The following is a simulated PXRD pattern of Pr2Sm6Tm. It was derived from DFT lattice parameters and positions (PBE), using λ = 1.5418 Å (Cu Kα).

Cell and atoms:
```
Pr2Sm6Tm
1.0
8.337 -5.904 0.000
8.337 5.904 0.000
-0.708 0.000 6.170
Pr Sm Tm
4 12 2
direct
0.067 0.270 0.073 Pr
0.270 0.067 0.573 Pr
0.730 0.933 0.427 Pr
0.933 0.730 0.927 Pr
0.093 0.811 0.487 Sm
0.156 0.427 0.646 Sm
0.189 0.907 0.013 Sm
0.247 0.526 0.179 Sm
0.427 0.156 0.146 Sm
0.474 0.753 0.321 Sm
0.526 0.247 0.679 Sm
0.573 0.844 0.854 Sm
0.753 0.474 0.821 Sm
0.811 0.093 0.987 Sm
0.844 0.573 0.354 Sm
0.907 0.189 0.513 Sm
0.401 0.599 0.750 Tm
0.599 0.401 0.250 Tm
```

Peak list (12 most intense, 2θ = 10–80°, in order of rising 2θ)
27.80 deg, rel. 15; 29.82 deg, rel. 61; 30.09 deg, rel. 59; 30.28 deg, rel. 49; 31.27 deg, rel. 100; 36.93 deg, rel. 33; 37.15 deg, rel. 29; 48.65 deg, rel. 12; 49.64 deg, rel. 14; 50.16 deg, rel. 12; 54.41 deg, rel. 13; 54.78 deg, rel. 20



Record 5
The following is a simulated PXRD pattern of Rb2CdTeH. It was derived from DFT lattice parameters and positions (PBE), using λ = 1.5418 Å (Cu Kα).

Cell and atoms:
```
Rb2CdTeH
1.0
5.911 0.000 0.000
0.000 5.911 0.000
0.000 0.000 4.512
Rb Cd Te H
2 1 1 1
direct
0.000 0.500 0.000 Rb
0.500 0.000 0.000 Rb
0.000 0.000 0.500 Cd
0.500 0.500 0.500 Te
0.000 0.000 0.000 H
```

Peak list (12 most intense, 2θ = 10–80°, in order of rising 2θ)
29.12 deg, rel. 100; 30.24 deg, rel. 46; 39.96 deg, rel. 11; 43.29 deg, rel. 17; 50.92 deg, rel. 21; 53.02 deg, rel. 36; 60.37 deg, rel. 12; 62.89 deg, rel. 5; 66.01 deg, rel. 9; 70.77 deg, rel. 8; 71.36 deg, rel. 7; 77.16 deg, rel. 6



Record 6
The following is a simulated PXRD pattern of TcAg2Sn8. It was derived from DFT lattice parameters and positions (PBE), using λ = 1.5418 Å (Cu Kα).

Cell and atoms:
```
TcAg2Sn8
1.0
5.809 -5.497 0.000
5.809 5.497 0.000
-1.702 0.000 4.433
Tc Ag Sn
1 2 8
direct
0.000 0.000 0.000 Tc
0.281 0.281 0.234 Ag
0.719 0.719 0.766 Ag
0.094 0.623 0.851 Sn
0.136 0.136 0.616 Sn
0.361 0.639 0.500 Sn
0.377 0.906 0.149 Sn
0.623 0.094 0.851 Sn
0.639 0.361 0.500 Sn
0.864 0.864 0.384 Sn
0.906 0.377 0.149 Sn
```

Peak list (12 most intense, 2θ = 10–80°, in order of rising 2θ)
20.40 deg, rel. 36; 25.66 deg, rel. 31; 26.47 deg, rel. 41; 32.58 deg, rel. 45; 34.48 deg, rel. 85; 35.96 deg, rel. 100; 37.95 deg, rel. 74; 38.22 deg, rel. 40; 40.03 deg, rel. 24; 47.06 deg, rel. 25; 50.86 deg, rel. 23; 68.21 deg, rel. 28



Repeat the fifth record exactly.
The following is a simulated PXRD pattern of Rb2CdTeH. It was derived from DFT lattice parameters and positions (PBE), using λ = 1.5418 Å (Cu Kα).

Cell and atoms:
```
Rb2CdTeH
1.0
5.911 0.000 0.000
0.000 5.911 0.000
0.000 0.000 4.512
Rb Cd Te H
2 1 1 1
direct
0.000 0.500 0.000 Rb
0.500 0.000 0.000 Rb
0.000 0.000 0.500 Cd
0.500 0.500 0.500 Te
0.000 0.000 0.000 H
```

Peak list (12 most intense, 2θ = 10–80°, in order of rising 2θ)
29.12 deg, rel. 100; 30.24 deg, rel. 46; 39.96 deg, rel. 11; 43.29 deg, rel. 17; 50.92 deg, rel. 21; 53.02 deg, rel. 36; 60.37 deg, rel. 12; 62.89 deg, rel. 5; 66.01 deg, rel. 9; 70.77 deg, rel. 8; 71.36 deg, rel. 7; 77.16 deg, rel. 6